Entry 1:
Simulated PXRD pattern of MnC2 for Cu Kα, from DFT lattice parameters and positions (PBE).

Cell and atoms:
Cell: 4.225 4.225 4.225 Å, 142.68 142.68 53.81°
Element x y z (fractional)
Mn 0.000 0.000 0.000
C 0.227 0.227 0.000
C 0.408 0.408 0.000

The 7 most intense peaks (2θ = 5–70°), in order of falling intensity:
| two_theta | d (Å) | I_rel |
| --- | --- | --- |
| 35.26 | 2.545 | 1000 |
| 23.61 | 3.768 | 697 |
| 47.55 | 1.912 | 427 |
| 49.53 | 1.840 | 384 |
| 53.76 | 1.705 | 271 |
| 48.31 | 1.884 | 125 |
| 69.52 | 1.352 | 116 |

Entry 2:
Simulated PXRD pattern of Rb4Tc6S13 for Cu Kα, from DFT lattice parameters and positions (PBE).

Cell and atoms:
Cell: 9.795 9.795 14.221 Å, 94.52 94.52 119.37°
Element x y z (fractional)
Rb 0.121 0.407 0.620
Rb 0.204 0.267 0.341
Rb 0.267 0.204 0.841
Rb 0.407 0.121 0.120
Rb 0.593 0.879 0.880
Rb 0.733 0.796 0.159
Rb 0.796 0.733 0.659
Rb 0.879 0.593 0.380
Tc 0.075 0.652 0.108
Tc 0.098 0.656 0.924
Tc 0.181 0.483 0.019
Tc 0.344 0.902 0.576
Tc 0.348 0.925 0.392
Tc 0.483 0.181 0.519
Tc 0.517 0.819 0.481
Tc 0.652 0.075 0.608
Tc 0.656 0.098 0.424
Tc 0.819 0.517 0.981
Tc 0.902 0.344 0.076
Tc 0.925 0.348 0.892
S 0.003 0.199 0.989
S 0.143 0.763 0.679
S 0.145 0.480 0.183
S 0.147 0.853 0.250
S 0.190 0.493 0.852
S 0.199 0.003 0.489
S 0.233 0.673 0.454
S 0.237 0.857 0.821
S 0.327 0.767 0.046
S 0.419 0.450 0.049
S 0.450 0.419 0.549
S 0.480 0.145 0.683
S 0.493 0.190 0.352
S 0.507 0.810 0.648
S 0.520 0.855 0.317
S 0.550 0.581 0.451
S 0.581 0.550 0.951
S 0.673 0.233 0.954
S 0.763 0.143 0.179
S 0.767 0.327 0.546
S 0.801 0.997 0.511
S 0.810 0.507 0.148
S 0.853 0.147 0.750
S 0.855 0.520 0.817
S 0.857 0.237 0.321
S 0.997 0.801 0.011

The 10 most intense peaks (2θ = 5–70°), in order of falling intensity:
| two_theta | d (Å) | I_rel |
| --- | --- | --- |
| 11.46 | 7.722 | 1000 |
| 10.46 | 8.456 | 982 |
| 12.93 | 6.849 | 728 |
| 12.60 | 7.024 | 444 |
| 38.37 | 2.346 | 225 |
| 18.16 | 4.884 | 222 |
| 46.84 | 1.939 | 204 |
| 47.70 | 1.906 | 198 |
| 36.86 | 2.439 | 182 |
| 22.97 | 3.872 | 173 |

Entry 3:
Simulated PXRD pattern of CaGa10Ir2 for Cu Kα, from DFT lattice parameters and positions (PBE).

Cell and atoms:
Cell: 6.881 6.881 9.430 Å, 90.00 90.00 94.10°
Element x y z (fractional)
Ca 0.128 0.872 0.750
Ca 0.872 0.128 0.250
Ga 0.155 0.845 0.112
Ga 0.155 0.845 0.388
Ga 0.185 0.441 0.750
Ga 0.198 0.198 0.000
Ga 0.198 0.198 0.500
Ga 0.211 0.477 0.250
Ga 0.378 0.622 0.532
Ga 0.378 0.622 0.968
Ga 0.441 0.185 0.250
Ga 0.477 0.211 0.750
Ga 0.523 0.789 0.250
Ga 0.559 0.815 0.750
Ga 0.622 0.378 0.032
Ga 0.622 0.378 0.468
Ga 0.789 0.523 0.750
Ga 0.802 0.802 0.000
Ga 0.802 0.802 0.500
Ga 0.815 0.559 0.250
Ga 0.845 0.155 0.612
Ga 0.845 0.155 0.888
Ir 0.000 0.500 0.000
Ir 0.000 0.500 0.500
Ir 0.500 0.000 0.000
Ir 0.500 0.000 0.500

The 10 most intense peaks (2θ = 5–70°), in order of falling intensity:
| two_theta | d (Å) | I_rel |
| --- | --- | --- |
| 40.64 | 2.220 | 1000 |
| 45.17 | 2.008 | 959 |
| 35.59 | 2.522 | 590 |
| 18.82 | 4.715 | 460 |
| 38.17 | 2.358 | 449 |
| 17.61 | 5.037 | 404 |
| 42.94 | 2.106 | 403 |
| 43.09 | 2.099 | 385 |
| 18.93 | 4.689 | 380 |
| 25.92 | 3.437 | 335 |

Entry 4:
Simulated PXRD pattern of CsCu3Cl6 for Cu Kα, from DFT lattice parameters and positions (PBE).

Cell and atoms:
Cell: 9.969 9.969 9.969 Å, 122.06 92.55 115.14°
Element x y z (fractional)
Cs 0.250 0.250 0.000
Cs 0.750 0.750 0.000
Cu 0.192 0.602 0.794
Cu 0.250 0.750 0.500
Cu 0.308 0.102 0.410
Cu 0.692 0.898 0.590
Cu 0.750 0.250 0.500
Cu 0.808 0.398 0.206
Cl 0.062 0.503 0.241
Cl 0.164 0.020 0.183
Cl 0.237 0.997 0.558
Cl 0.263 0.821 0.759
Cl 0.336 0.520 0.856
Cl 0.438 0.679 0.442
Cl 0.562 0.321 0.558
Cl 0.664 0.480 0.144
Cl 0.737 0.179 0.241
Cl 0.763 0.003 0.442
Cl 0.836 0.980 0.817
Cl 0.938 0.497 0.759

The 10 most intense peaks (2θ = 5–70°), in order of falling intensity:
| two_theta | d (Å) | I_rel |
| --- | --- | --- |
| 21.03 | 4.224 | 1000 |
| 21.19 | 4.192 | 511 |
| 28.07 | 3.179 | 490 |
| 18.37 | 4.829 | 332 |
| 17.86 | 4.967 | 286 |
| 36.17 | 2.484 | 247 |
| 38.49 | 2.339 | 195 |
| 28.47 | 3.135 | 193 |
| 56.10 | 1.639 | 143 |
| 56.68 | 1.624 | 138 |

Entry 5:
Simulated PXRD pattern of LiZn2P2O7 for Cu Kα, from DFT lattice parameters and positions (PBE).

Cell and atoms:
Cell: 7.589 7.589 7.589 Å, 39.91 39.91 39.91°
Element x y z (fractional)
Li 0.000 0.000 0.000
Zn 0.231 0.231 0.231
Zn 0.769 0.769 0.769
P 0.423 0.423 0.423
P 0.577 0.577 0.577
O 0.119 0.401 0.689
O 0.311 0.599 0.881
O 0.401 0.689 0.119
O 0.500 0.500 0.500
O 0.599 0.881 0.311
O 0.689 0.119 0.401
O 0.881 0.311 0.599

The 10 most intense peaks (2θ = 5–70°), in order of falling intensity:
| two_theta | d (Å) | I_rel |
| --- | --- | --- |
| 25.54 | 3.487 | 1000 |
| 34.63 | 2.590 | 908 |
| 29.18 | 3.060 | 641 |
| 26.17 | 3.405 | 618 |
| 20.24 | 4.387 | 463 |
| 43.52 | 2.079 | 394 |
| 52.92 | 1.730 | 385 |
| 21.55 | 4.123 | 383 |
| 62.06 | 1.495 | 313 |
| 52.23 | 1.751 | 259 |

Entry 6:
Simulated PXRD pattern of Mn2Os4Ru5 for Cu Kα, from DFT lattice parameters and positions (PBE).

Cell and atoms:
Cell: 6.577 6.577 10.117 Å, 100.68 100.68 23.51°
Element x y z (fractional)
Mn 0.028 0.028 0.114
Mn 0.972 0.972 0.886
Os 0.353 0.353 0.022
Os 0.413 0.413 0.676
Os 0.587 0.587 0.324
Os 0.647 0.647 0.978
Ru 0.000 0.000 0.500
Ru 0.105 0.105 0.743
Ru 0.220 0.220 0.212
Ru 0.780 0.780 0.788
Ru 0.895 0.895 0.257

The 10 most intense peaks (2θ = 5–70°), in order of falling intensity:
| two_theta | d (Å) | I_rel |
| --- | --- | --- |
| 42.17 | 2.143 | 1000 |
| 8.90 | 9.934 | 872 |
| 41.86 | 2.158 | 758 |
| 43.15 | 2.096 | 690 |
| 18.00 | 4.928 | 564 |
| 45.17 | 2.007 | 529 |
| 44.94 | 2.017 | 490 |
| 43.35 | 2.087 | 468 |
| 46.26 | 1.963 | 353 |
| 64.33 | 1.448 | 272 |

Entry 7:
Simulated PXRD pattern of MgOF for Cu Kα, from DFT lattice parameters and positions (PBE).

Cell and atoms:
Cell: 4.026 3.134 5.028 Å, 90.00 95.81 90.00°
Element x y z (fractional)
Mg 0.000 0.000 0.000
Mg 0.500 0.500 0.500
O 0.162 0.000 0.594
O 0.838 0.000 0.406
F 0.273 0.500 0.140
F 0.727 0.500 0.860

The 10 most intense peaks (2θ = 5–70°), in order of falling intensity:
| two_theta | d (Å) | I_rel |
| --- | --- | --- |
| 36.40 | 2.468 | 1000 |
| 27.07 | 3.293 | 446 |
| 39.70 | 2.270 | 426 |
| 40.55 | 2.225 | 322 |
| 59.26 | 1.559 | 320 |
| 35.91 | 2.501 | 301 |
| 56.00 | 1.642 | 289 |
| 58.93 | 1.567 | 266 |
| 53.78 | 1.704 | 258 |
| 63.17 | 1.472 | 244 |

Entry 8:
Simulated PXRD pattern of PmGaAu6 for Cu Kα, from DFT lattice parameters and positions (PBE).

Cell and atoms:
Cell: 4.459 6.871 5.270 Å, 90.00 90.00 90.00°
Element x y z (fractional)
Pm 0.000 0.000 0.000
Ga 0.500 0.500 0.345
Au 0.000 0.269 0.501
Au 0.000 0.500 0.038
Au 0.000 0.731 0.501
Au 0.500 0.000 0.443
Au 0.500 0.288 0.848
Au 0.500 0.712 0.848

The 10 most intense peaks (2θ = 5–70°), in order of falling intensity:
| two_theta | d (Å) | I_rel |
| --- | --- | --- |
| 37.18 | 2.418 | 1000 |
| 39.73 | 2.269 | 277 |
| 40.46 | 2.230 | 268 |
| 31.07 | 2.878 | 166 |
| 34.02 | 2.635 | 158 |
| 59.06 | 1.564 | 105 |
| 53.33 | 1.718 | 87 |
| 53.86 | 1.702 | 87 |
| 69.02 | 1.361 | 81 |
| 51.87 | 1.763 | 80 |

Entry 9:
Simulated PXRD pattern of Ac3SnI2 for Cu Kα, from DFT lattice parameters and positions (PBE).

Cell and atoms:
Cell: 8.215 8.215 7.884 Å, 99.22 99.22 113.42°
Element x y z (fractional)
Ac 0.000 0.500 0.000
Ac 0.130 0.295 0.480
Ac 0.295 0.130 0.980
Ac 0.500 0.000 0.500
Ac 0.705 0.870 0.020
Ac 0.870 0.705 0.520
Sn 0.095 0.905 0.250
Sn 0.905 0.095 0.750
I 0.269 0.731 0.750
I 0.429 0.571 0.250
I 0.571 0.429 0.750
I 0.731 0.269 0.250

The 10 most intense peaks (2θ = 5–70°), in order of falling intensity:
| two_theta | d (Å) | I_rel |
| --- | --- | --- |
| 26.42 | 3.373 | 1000 |
| 35.87 | 2.503 | 399 |
| 39.54 | 2.279 | 238 |
| 48.06 | 1.893 | 125 |
| 39.36 | 2.289 | 112 |
| 58.96 | 1.566 | 102 |
| 54.34 | 1.688 | 92 |
| 23.50 | 3.786 | 77 |
| 41.90 | 2.156 | 71 |
| 48.28 | 1.885 | 68 |

Entry 10:
Simulated PXRD pattern of La2Pm4TmTh for Cu Kα, from DFT lattice parameters and positions (PBE).

Cell and atoms:
Cell: 6.081 6.091 7.365 Å, 90.00 90.05 90.00°
Element x y z (fractional)
La 0.000 0.000 0.000
La 0.500 0.500 0.500
Pm 0.000 0.500 0.246
Pm 0.000 0.500 0.754
Pm 0.500 0.000 0.246
Pm 0.500 0.000 0.754
Tm 0.000 0.000 0.500
Th 0.500 0.500 0.000

The 10 most intense peaks (2θ = 5–70°), in order of falling intensity:
| two_theta | d (Å) | I_rel |
| --- | --- | --- |
| 31.99 | 2.798 | 1000 |
| 29.35 | 3.043 | 626 |
| 53.74 | 1.706 | 465 |
| 41.99 | 2.152 | 238 |
| 58.60 | 1.575 | 179 |
| 66.88 | 1.399 | 120 |
| 69.02 | 1.361 | 110 |
| 49.50 | 1.841 | 74 |
| 60.84 | 1.523 | 40 |
| 60.94 | 1.520 | 40 |

Entry 11:
Simulated PXRD pattern of Ac2Nd2CoHg2 for Cu Kα, from DFT lattice parameters and positions (PBE).

Cell and atoms:
Cell: 4.123 7.450 8.075 Å, 110.74 104.69 90.12°
Element x y z (fractional)
Ac 0.201 0.189 0.399
Ac 0.799 0.811 0.601
Nd 0.481 0.231 0.962
Nd 0.519 0.769 0.038
Co 0.000 0.000 0.000
Hg 0.121 0.568 0.243
Hg 0.879 0.432 0.757

The 10 most intense peaks (2θ = 5–70°), in order of falling intensity:
| two_theta | d (Å) | I_rel |
| --- | --- | --- |
| 28.42 | 3.140 | 1000 |
| 31.72 | 2.821 | 592 |
| 32.52 | 2.753 | 544 |
| 28.33 | 3.150 | 536 |
| 32.59 | 2.747 | 448 |
| 36.11 | 2.488 | 431 |
| 26.99 | 3.303 | 393 |
| 43.91 | 2.062 | 352 |
| 24.06 | 3.699 | 295 |
| 55.18 | 1.664 | 252 |

Entry 12:
Simulated PXRD pattern of Tl2NCl for Cu Kα, from DFT lattice parameters and positions (PBE).

Cell and atoms:
Cell: 7.180 3.915 7.295 Å, 90.00 106.67 90.00°
Element x y z (fractional)
Tl 0.019 0.250 0.217
Tl 0.460 0.750 0.165
Tl 0.540 0.250 0.835
Tl 0.981 0.750 0.783
N 0.329 0.250 0.054
N 0.671 0.750 0.946
Cl 0.266 0.750 0.504
Cl 0.734 0.250 0.496

The 10 most intense peaks (2θ = 5–70°), in order of falling intensity:
| two_theta | d (Å) | I_rel |
| --- | --- | --- |
| 30.82 | 2.902 | 1000 |
| 27.48 | 3.246 | 657 |
| 25.91 | 3.439 | 369 |
| 44.40 | 2.041 | 274 |
| 34.07 | 2.631 | 258 |
| 12.67 | 6.988 | 253 |
| 25.49 | 3.494 | 191 |
| 56.72 | 1.623 | 155 |
| 46.39 | 1.957 | 149 |
| 38.65 | 2.329 | 149 |